For KSrCeWO6, a structure optimized by DFT (GGA+U) gives the simulated powder XRD pattern in this record (Cu Kα).
Intensities are scaled so that the largest is 100.

Atomic structure:
```
data_KSrCeWO6
_symmetry_space_group_name_H-M 'P n n n'
_symmetry_Int_Tables_number 48
_cell_length_a 8.4209
_cell_length_b 8.4705
_cell_length_c 8.4801
_cell_angle_alpha 90.00
_cell_angle_beta 90.00
_cell_angle_gamma 90.00
loop_
_symmetry_equiv_pos_as_xyz
'x,y,z'
'-x,-y,-z'
'-x+1/2,-y+1/2,z'
'x+1/2,y+1/2,-z'
'x,-y+1/2,-z+1/2'
'-x,y+1/2,z+1/2'
'-x+1/2,y,-z+1/2'
'x+1/2,-y,z+1/2'
loop_
_atom_site_label
_atom_site_type_symbol
_atom_site_fract_x
_atom_site_fract_y
_atom_site_fract_z
_atom_site_occupancy
K1 K 0.2500 0.2500 0.2500 1
K2 K 0.2500 0.7500 0.2500 1
Sr1 Sr 0.2500 0.2500 0.7500 1
Sr2 Sr 0.2500 0.7500 0.7500 1
Ce1 Ce 0.0000 0.0000 0.0000 1
W1 W 0.0000 0.0000 0.5000 1
O1 O 0.0192 0.2400 0.4807 1
O2 O 0.0396 0.0179 0.7388 1
O3 O 0.2301 0.5248 0.0172 1
```

Top 8 peaks for 15° ≤ 2θ ≤ 90°, sorted by position:
2θ = 20.96°, I 34.2, hkl 0 0 2; 2θ = 21.10°, I 16.5, hkl 2 0 0; 2θ = 29.86°, I 100.0, hkl 2 0 2; 2θ = 29.92°, I 49.0, hkl 2 2 0; 2θ = 42.67°, I 30.8, hkl 0 0 4; 2θ = 52.99°, I 41.7, hkl 2 4 2; 2θ = 53.17°, I 21.2, hkl 4 2 2; 2θ = 62.16°, I 17.8, hkl 4 0 4


For MnO2, a structure optimized by DFT (GGA+U) gives the simulated powder XRD pattern in this record (Cu Kα).
Intensities are scaled so that the largest is 100.

Atomic structure:
```
data_MnO2
_symmetry_space_group_name_H-M 'C 1 2/m 1'
_symmetry_Int_Tables_number 12
_symmetry_space_group_name_Hall '-C 2y'
_cell_length_a 13.5618
_cell_length_b 2.9325
_cell_length_c 4.6666
_cell_angle_alpha 90.00
_cell_angle_beta 94.71
_cell_angle_gamma 90.00
loop_
_atom_site_label
_atom_site_type_symbol
_atom_site_fract_x
_atom_site_fract_y
_atom_site_fract_z
_atom_site_occupancy
Mn1 Mn 0.0000 0.0000 0.0000 1
Mn2 Mn 0.1575 0.5000 0.5369 1
O1 O 0.0744 0.5000 0.8580 1
O2 O 0.0873 0.0000 0.3514 1
O3 O 0.2352 0.0000 0.7128 1
```

Top 8 peaks for 15° ≤ 2θ ≤ 90°, sorted by position:
2θ = 19.08°, I 31.9, hkl 0 0 1; 2θ = 22.30°, I 42.7, hkl 2 0 -1; 2θ = 24.10°, I 94.0, hkl 2 0 1; 2θ = 31.42°, I 60.0, hkl 4 0 -1; 2θ = 36.56°, I 100.0, hkl 3 1 0; 2θ = 42.36°, I 37.5, hkl 3 1 1; 2θ = 55.61°, I 29.1, hkl 3 1 2; 2θ = 59.34°, I 33.0, hkl 7 1 -1


For VW2O8, a structure optimized by DFT (GGA+U) gives the simulated powder XRD pattern in this record (Cu Kα).
Intensities are scaled so that the largest is 100.

Atomic structure:
```
data_VW2O8
_symmetry_space_group_name_H-M 'P 1 2/c 1'
_symmetry_Int_Tables_number 13
_symmetry_space_group_name_Hall '-P 2yc'
_cell_length_a 5.0261
_cell_length_b 5.8420
_cell_length_c 10.3973
_cell_angle_alpha 90.00
_cell_angle_beta 116.77
_cell_angle_gamma 90.00
loop_
_atom_site_label
_atom_site_type_symbol
_atom_site_fract_x
_atom_site_fract_y
_atom_site_fract_z
_atom_site_occupancy
V1 V 0.0000 0.1439 0.2500 1
W1 W 0.2321 0.3356 0.9907 1
O1 O 0.1723 0.3897 0.6114 1
O2 O 0.2049 0.1668 0.1408 1
O3 O 0.2473 0.0979 0.8798 1
O4 O 0.3165 0.3898 0.3921 1
```

Top 8 peaks for 15° ≤ 2θ ≤ 90°, sorted by position:
2θ = 15.17°, I 43.7, hkl 0 1 0; 2θ = 19.12°, I 100.0, hkl 0 0 2; 2θ = 23.36°, I 96.7, hkl 1 1 -1; 2θ = 24.49°, I 58.4, hkl 0 1 2; 2θ = 29.93°, I 79.2, hkl 1 1 1; 2θ = 30.78°, I 74.4, hkl 1 1 -3; 2θ = 35.55°, I 40.0, hkl 1 2 -1; 2θ = 41.01°, I 38.9, hkl 1 2 -3


For YV4Cu3O12, a structure optimized by DFT (GGA+U) gives the simulated powder XRD pattern in this record (Cu Kα).
Intensities are scaled so that the largest is 100.

Atomic structure:
```
data_YV4Cu3O12
_symmetry_space_group_name_H-M 'P -1'
_symmetry_Int_Tables_number 2
_symmetry_space_group_name_Hall '-P 1'
_cell_length_a 6.4144
_cell_length_b 6.4158
_cell_length_c 6.4176
_cell_angle_alpha 109.46
_cell_angle_beta 109.45
_cell_angle_gamma 109.37
loop_
_atom_site_label
_atom_site_type_symbol
_atom_site_fract_x
_atom_site_fract_y
_atom_site_fract_z
_atom_site_occupancy
Y1 Y 0.0000 0.0000 0.0000 1
V1 V 0.0000 0.0000 0.5000 1
V2 V 0.0000 0.5000 0.0000 1
V3 V 0.5000 0.0000 0.0000 1
V4 V 0.5000 0.5000 0.5000 1
Cu1 Cu 0.0000 0.5000 0.5000 1
Cu2 Cu 0.5000 0.0000 0.5000 1
Cu3 Cu 0.5000 0.5000 0.0000 1
O1 O 0.1238 0.3014 0.8284 1
O2 O 0.1729 0.4722 0.2932 1
O3 O 0.1726 0.8758 0.6999 1
O4 O 0.2908 0.1693 0.4741 1
O5 O 0.2986 0.8254 0.1229 1
O6 O 0.4726 0.2896 0.1688 1
```

Top 8 peaks for 15° ≤ 2θ ≤ 90°, sorted by position:
2θ = 34.21°, I 100.0, hkl 0 0 2; 2θ = 49.16°, I 28.0, hkl -2 2 2; 2θ = 61.16°, I 12.1, hkl 2 2 0; 2θ = 61.29°, I 36.0, hkl 2 -4 0; 2θ = 72.00°, I 6.3, hkl 4 0 0; 2θ = 72.15°, I 6.3, hkl 4 -4 0; 2θ = 82.21°, I 9.3, hkl 2 4 -4; 2θ = 82.32°, I 6.2, hkl -4 2 4


For Li7Co5O12, a structure optimized by DFT (GGA+U) gives the simulated powder XRD pattern in this record (Cu Kα).
Intensities are scaled so that the largest is 100.

Atomic structure:
```
data_Li7Co5O12
_symmetry_space_group_name_H-M 'C 1 2/m 1'
_symmetry_Int_Tables_number 12
_symmetry_space_group_name_Hall '-C 2y'
_cell_length_a 14.8114
_cell_length_b 2.8758
_cell_length_c 11.7020
_cell_angle_alpha 90.00
_cell_angle_beta 124.85
_cell_angle_gamma 90.00
loop_
_atom_site_label
_atom_site_type_symbol
_atom_site_fract_x
_atom_site_fract_y
_atom_site_fract_z
_atom_site_occupancy
Li1 Li 0.0000 0.0000 0.0000 1
Li2 Li 0.0008 0.0000 0.7541 1
Li3 Li 0.1600 0.5000 0.2419 1
Li4 Li 0.1662 0.5000 0.7491 1
Co1 Co 0.0000 0.0000 0.5000 1
Co2 Co 0.1632 0.5000 0.9993 1
Co3 Co 0.1666 0.5000 0.5015 1
O1 O 0.0031 0.5000 0.3900 1
O2 O 0.0156 0.5000 0.8846 1
O3 O 0.1593 0.0000 0.6161 1
O4 O 0.1689 0.0000 0.1101 1
O5 O 0.1692 0.0000 0.3792 1
O6 O 0.1763 0.0000 0.8975 1
```

Top 8 peaks for 15° ≤ 2θ ≤ 90°, sorted by position:
2θ = 18.48°, I 100.0, hkl 0 0 2; 2θ = 36.67°, I 25.8, hkl 3 1 -2; 2θ = 37.02°, I 12.1, hkl 6 0 -2; 2θ = 38.40°, I 10.6, hkl 6 0 -4; 2θ = 44.17°, I 54.1, hkl 3 1 -4; 2θ = 44.73°, I 25.6, hkl 6 0 0; 2θ = 64.02°, I 14.3, hkl 3 1 4; 2θ = 65.33°, I 13.7, hkl 9 1 -4